1.
Theoretical X-ray diffraction stick pattern
Compound: La5Nd2Dy12
Radiation: CuKα
Structure: the GGA-PBE geometry in Alexandria
Peak positions follow from Bragg's law for the DFT cell and can differ from measured ones.

Peak list (12 most intense, 2θ from 10° to 80°, by angle)
d_spacing  two_theta  I (rel.)  index
3.141  28.41  70  -1 1 2
2.999  29.79  49  0 0 5
2.977  30.02  55  1 1 -4
2.902  30.81  37  2 0 -1
2.893  30.91  83  2 2 1
2.842  31.48  95  0 2 2
2.830  31.61  100  2 0 3
2.807  31.89  88  1 1 5
2.690  33.31  53  0 2 -3
2.679  33.45  55  2 0 -2
1.844  49.43  38  2 -2 1
1.758  52.03  38  -1 1 7

```
data_La5Nd2Dy12
_chemical_formula_sum 'La5 Nd2 Dy12'
_symmetry_space_group_name_H-M 'P -1'
_symmetry_Int_Tables_number 2
_symmetry_space_group_name_Hall '-P 1'
_cell_length_a 6.8544
_cell_length_b 6.8910
_cell_length_c 15.2240
_cell_angle_alpha 87.77
_cell_angle_beta 80.27
_cell_angle_gamma 64.89
loop_
_atom_site_label
_atom_site_fract_x
_atom_site_fract_y
_atom_site_fract_z
La1 0.0000 0.0000 0.0000
La2 0.2334 0.9976 0.5351
La3 0.4249 0.9464 0.1170
Nd1 0.2631 0.4890 0.4688
Dy1 0.0832 0.2425 0.3133
Dy2 0.0839 0.7424 0.2558
Dy3 0.1216 0.5143 0.8844
Dy4 0.3820 0.7764 0.7435
Dy5 0.3873 0.4307 0.0793
Dy6 0.4362 0.2648 0.6754
```

---

2.
Theoretical X-ray diffraction stick pattern
Compound: LaNd12Dy2
Radiation: CuKα
Structure: the GGA-PBE geometry in Alexandria
Peak positions follow from Bragg's law for the DFT cell and can differ from measured ones.

Peak list (12 most intense, 2θ from 10° to 80°, by angle)
d_spacing  two_theta  I (rel.)  index
3.132  28.50  30  2 0 4
3.065  29.13  74  0 2 7
2.982  29.96  100  2 2 2
2.918  30.63  98  0 4 0
2.883  31.02  32  2 2 3
2.773  32.28  71  0 2 8
2.760  32.44  63  2 2 4
2.479  36.24  45  2 2 6
1.935  46.96  28  2 0 11
1.804  50.58  25  4 0 0
1.612  57.12  33  2 4 11
1.535  60.32  31  4 4 0

```
data_LaNd12Dy2
_chemical_formula_sum 'La4 Nd48 Dy8'
_symmetry_space_group_name_H-M 'C m m e'
_symmetry_Int_Tables_number 67
_symmetry_space_group_name_Hall '-C 2a 2'
_cell_length_a 7.2178
_cell_length_b 11.6734
_cell_length_c 25.2121
_cell_angle_alpha 90.00
_cell_angle_beta 90.00
_cell_angle_gamma 90.00
loop_
_atom_site_label
_atom_site_fract_x
_atom_site_fract_y
_atom_site_fract_z
La1 0.0000 0.2500 0.0041
Nd1 0.0000 0.0076 0.9236
Nd2 0.0000 0.0245 0.4403
Nd3 0.2303 0.2500 0.5845
Nd4 0.2457 0.2500 0.1332
Nd5 0.2500 0.0000 0.2006
Nd6 0.2500 0.0000 0.3259
Dy1 0.0000 0.2500 0.2727
Dy2 0.0000 0.2500 0.7318
```